# 1
SmH6Pd4Au: computed powder X-ray diffraction pattern (Cu Kα, 1.54184 Å), based on a DFT-relaxed cell (PBE, Alexandria).
Peak positions follow from Bragg's law for the DFT cell and can differ from measured ones.

Cell and atoms:
abc: 4.7775 4.7775 6.6905
angles: 90.00 90.00 120.00
Space group P6/mmm (No. 191)
Unique sites:
Sm (0.0000, 0.0000, 0.0000) [1 per cell]
H (0.0000, 0.5000, 0.1418) [6 per cell]
Pd (0.3333, 0.6667, 0.2984) [4 per cell]
Au (0.0000, 0.0000, 0.5000) [1 per cell]

Largest 8 diffraction maxima, by angle, 2θ = 10–90°:
2θ/deg	I/Imax	(hkl)
13.23	16.7	0 0 1
34.48	100.0	1 0 2
37.66	86.0	1 1 0
51.97	30.9	2 0 2
65.94	30.3	2 1 2
67.97	15.1	3 0 0
68.48	12.2	1 1 4
80.40	9.6	2 2 0


# 2
CsHoZnCl6: computed powder X-ray diffraction pattern (Cu Kα, 1.54184 Å), based on a DFT-relaxed cell (PBE, Alexandria).
Peak positions follow from Bragg's law for the DFT cell and can differ from measured ones.

Cell and atoms:
abc: 6.7470 6.7470 7.7949
angles: 90.00 90.00 120.00
Space group P312 (No. 149)
Unique sites:
Cs (0.0000, 0.0000, 0.0000) [1 per cell]
Ho (0.6667, 0.3333, 0.5000) [1 per cell]
Zn (0.3333, 0.6667, 0.5000) [1 per cell]
Cl (0.0150, 0.3869, 0.6894) [6 per cell]

Largest 8 diffraction maxima, by angle, 2θ = 10–90°:
2θ/deg	I/Imax	(hkl)
11.35	26.4	0 0 1
18.98	100.0	1 0 1
26.42	20.9	1 1 0
32.74	19.1	2 0 1
35.18	58.8	2 -1 2
42.55	24.9	3 -1 1
46.63	20.2	3 0 0
54.38	16.4	1 1 4


# 3
Ac2AlPd6: computed powder X-ray diffraction pattern (Cu Kα, 1.54184 Å), based on a DFT-relaxed cell (PBE, Alexandria).
Peak positions follow from Bragg's law for the DFT cell and can differ from measured ones.

Cell and atoms:
abc: 6.0221 6.0221 17.5169
angles: 90.00 90.00 120.00
Space group R-3m (No. 166, hexagonal axes)
Unique sites:
Ac (0.0000, 0.0000, 0.2362) [6 per cell]
Al (0.0000, 0.0000, 0.5000) [3 per cell]
Pd (0.0103, 0.5051, 0.7324) [18 per cell]

Largest 8 diffraction maxima, by angle, 2θ = 10–90°:
2θ/deg	I/Imax	(hkl)
19.81	13.2	0 1 2
30.62	35.7	0 0 6
35.93	100.0	2 0 2
39.96	14.0	1 0 7
40.25	71.4	0 2 4
54.74	16.7	2 0 8
61.60	23.7	2 2 0
70.36	20.9	2 2 6